1.
Diffraction record for Ag5Pd6Pb. The X-ray diffraction stick pattern is computed, not measured: it uses DFT lattice parameters and positions (PBE) and a wavelength of 1.5418 Å.

Main lines, sorted by position (2θ = 15–90°):
- 2θ 38.20, rel. 33
- 2θ 38.34, rel. 100
- 2θ 42.34, rel. 50
- 2θ 48.67, rel. 17
- 2θ 66.37, rel. 12
- 2θ 66.53, rel. 13
- 2θ 74.58, rel. 9
- 2θ 74.76, rel. 18
- 2θ 74.88, rel. 9
- 2θ 83.99, rel. 10

Cell: 4.8183 6.0263 7.1047 Å, 90.00 97.28 90.00°
Atoms (fractional coordinates):
1 Ag 0.0000 0.0000 0.0000
2 Ag 0.3435 0.0000 0.6652
3 Ag 0.3453 0.5000 0.6584
4 Ag 0.6547 0.5000 0.3416
5 Ag 0.6565 0.0000 0.3348
6 Pd 0.1539 0.2488 0.3319
7 Pd 0.1539 0.7512 0.3319
8 Pd 0.5000 0.2496 0.0000
9 Pd 0.5000 0.7504 0.0000
10 Pd 0.8461 0.2488 0.6681
11 Pd 0.8461 0.7512 0.6681
12 Pb 0.0000 0.5000 0.0000

=====

2.
Diffraction record for Sr2AgPd3Pb4. The X-ray diffraction stick pattern is computed, not measured: it uses DFT lattice parameters and positions (PBE) and a wavelength of 1.5418 Å.

Main lines, sorted by position (2θ = 15–90°):
- 2θ 15.66, rel. 30
- 2θ 20.05, rel. 30
- 2θ 30.10, rel. 50
- 2θ 30.66, rel. 100
- 2θ 37.37, rel. 85
- 2θ 41.51, rel. 72
- 2θ 48.71, rel. 26
- 2θ 53.88, rel. 30
- 2θ 63.27, rel. 25
- 2θ 70.22, rel. 31

Cell: 4.8129 4.8129 11.3176 Å, 90.00 90.00 90.00°
Atoms (fractional coordinates):
1 Sr 0.0000 0.5000 0.2445
2 Sr 0.5000 0.0000 0.7555
3 Ag 0.5000 0.5000 0.0000
4 Pd 0.0000 0.0000 0.0000
5 Pd 0.0000 0.5000 0.6312
6 Pd 0.5000 0.0000 0.3688
7 Pb 0.0000 0.0000 0.5000
8 Pb 0.0000 0.5000 0.8713
9 Pb 0.5000 0.0000 0.1287
10 Pb 0.5000 0.5000 0.5000

=====

3.
Diffraction record for Pm2Ag5Pb. The X-ray diffraction stick pattern is computed, not measured: it uses DFT lattice parameters and positions (PBE) and a wavelength of 1.5418 Å.

Main lines, sorted by position (2θ = 15–90°):
- 2θ 32.13, rel. 10
- 2θ 34.06, rel. 60
- 2θ 34.13, rel. 100
- 2θ 34.25, rel. 47
- 2θ 38.10, rel. 36
- 2θ 38.76, rel. 33
- 2θ 41.95, rel. 22
- 2θ 55.39, rel. 10
- 2θ 55.56, rel. 10
- 2θ 66.22, rel. 11

Cell: 6.3316 6.3401 6.3781 Å, 117.30 117.06 94.33°
Atoms (fractional coordinates):
1 Pm 0.0000 0.0000 0.0000
2 Pm 0.4698 0.5223 0.9886
3 Ag 0.0109 0.9745 0.4986
4 Ag 0.4561 0.5389 0.4958
5 Ag 0.4748 0.0019 0.9532
6 Ag 0.9334 0.4634 0.4779
7 Ag 0.9990 0.5231 0.0571
8 Pb 0.5327 0.0555 0.5090

=====

4.
Diffraction record for PmAg2Pb. The X-ray diffraction stick pattern is computed, not measured: it uses DFT lattice parameters and positions (PBE) and a wavelength of 1.5418 Å.

Main lines, sorted by position (2θ = 15–90°):
- 2θ 21.25, rel. 2
- 2θ 24.58, rel. 6
- 2θ 35.05, rel. 100
- 2θ 43.28, rel. 2
- 2θ 50.40, rel. 18
- 2θ 56.86, rel. 3
- 2θ 62.87, rel. 36
- 2θ 74.05, rel. 11
- 2θ 79.39, rel. 1
- 2θ 84.64, rel. 16

Cell: 5.1209 5.1209 5.1209 Å, 60.00 60.00 60.00°
Atoms (fractional coordinates):
1 Pm 0.0000 0.0000 0.0000
2 Ag 0.2500 0.2500 0.2500
3 Ag 0.7500 0.7500 0.7500
4 Pb 0.5000 0.5000 0.5000